Computed XRD peak list of Sm2Fe2Ni15 for a wavelength of 1.5418 Å, from a structure optimized by DFT (GGA-PBE).
Intensities are scaled so that the largest is 100.

Main lines, low angle first (10 to 90 degrees two-theta):
Position (°2θ)	I_rel
30.7	34
37.4	38
38.6	25
43.4	58
43.7	100
44.6	46
49.1	24
63.3	22
64.0	25
71.8	17
79.7	17
81.5	16

Atomic structure:
Lattice parameters (Å, degrees): 8.3393 8.3393 12.1969 90.00 90.00 120.00
Space group R-3m (No. 166, hexagonal axes)
Inequivalent atoms, fractional coordinates:
1 Sm 0.0000 0.0000 0.1570 [6 per cell]
2 Fe 0.0000 0.0000 0.4059 [6 per cell]
3 Ni 0.0000 0.2941 0.5000 [18 per cell]
4 Ni 0.0000 0.5000 0.0000 [9 per cell]
5 Ni 0.0037 0.5019 0.3443 [18 per cell]

***

Computed XRD peak list of Fe2Ni9Sn for a wavelength of 1.5418 Å, from a structure optimized by DFT (GGA-PBE).
Intensities are scaled so that the largest is 100.

Main lines, low angle first (10 to 90 degrees two-theta):
Position (°2θ)	I_rel
26.0	2
29.7	2
39.0	3
42.1	2
43.4	100
50.4	33
51.0	14
67.7	2
74.0	10
74.5	17
80.9	2
89.9	23

Atomic structure:
Lattice parameters (Å, degrees): 3.623 3.623 10.735 90.00 90.00 90.00
Space group P4/mmm (No. 123)
Inequivalent atoms, fractional coordinates:
1 Fe 0.000 0.000 0.160 [2 per cell]
2 Ni 0.000 0.500 0.000 [2 per cell]
3 Ni 0.000 0.500 0.318 [4 per cell]
4 Ni 0.500 0.500 0.160 [2 per cell]
5 Ni 0.500 0.500 0.500 [1 per cell]
6 Sn 0.000 0.000 0.500 [1 per cell]

***

Computed XRD peak list of FeNi5Sn for a wavelength of 1.5418 Å, from a structure optimized by DFT (GGA-PBE).
Intensities are scaled so that the largest is 100.

Main lines, low angle first (10 to 90 degrees two-theta):
Position (°2θ)	I_rel
17.6	21
27.8	35
30.6	22
39.4	11
43.3	100
44.0	94
45.6	9
50.8	61
50.9	30
73.8	10
74.8	36
75.6	8

Atomic structure:
Lattice parameters (Å, degrees): 5.138 7.172 5.029 90.00 90.00 90.00
Space group Cmmm (No. 65)
Inequivalent atoms, fractional coordinates:
1 Fe 0.000 0.000 0.000 [2 per cell]
2 Ni 0.000 0.000 0.500 [2 per cell]
3 Ni 0.250 0.250 0.237 [8 per cell]
4 Sn 0.000 0.500 0.500 [2 per cell]

***

Computed XRD peak list of TiFeNiSn for a wavelength of 1.5418 Å, from a structure optimized by DFT (GGA-PBE).
Intensities are scaled so that the largest is 100.

Main lines, low angle first (10 to 90 degrees two-theta):
Position (°2θ)	I_rel
25.2	16
29.2	3
41.7	100
49.3	9
51.7	1
60.4	16
66.5	4
68.5	2
76.1	32
81.7	3

Atomic structure:
Lattice parameters (Å, degrees): 6.126 6.126 6.126 90.00 90.00 90.00
Space group F-43m (No. 216)
Inequivalent atoms, fractional coordinates:
1 Ti 0.000 0.000 0.000 [4 per cell]
2 Fe 0.250 0.250 0.750 [4 per cell]
3 Ni 0.250 0.250 0.250 [4 per cell]
4 Sn 0.000 0.000 0.500 [4 per cell]

***

Computed XRD peak list of TaZnFeNi for a wavelength of 1.5418 Å, from a structure optimized by DFT (GGA-PBE).
Intensities are scaled so that the largest is 100.

Main lines, low angle first (10 to 90 degrees two-theta):
Position (°2θ)	I_rel
25.9	21
30.0	15
43.0	100
50.9	11
53.3	4
62.4	16
68.7	4
70.8	6
78.8	32
84.6	4

Atomic structure:
Lattice parameters (Å, degrees): 5.952 5.952 5.952 90.00 90.00 90.00
Space group F-43m (No. 216)
Inequivalent atoms, fractional coordinates:
1 Ta 0.000 0.000 0.000 [4 per cell]
2 Zn 0.000 0.000 0.500 [4 per cell]
3 Fe 0.250 0.250 0.750 [4 per cell]
4 Ni 0.250 0.250 0.250 [4 per cell]

***

Computed XRD peak list of TbFeNi6 for a wavelength of 1.5418 Å, from a structure optimized by DFT (GGA-PBE).
Intensities are scaled so that the largest is 100.

Main lines, low angle first (10 to 90 degrees two-theta):
Position (°2θ)	I_rel
32.8	84
35.3	100
40.7	85
41.9	33
47.9	85
48.6	33
52.5	39
59.2	30
65.5	17
70.0	25
73.7	27
84.3	19

Atomic structure:
Lattice parameters (Å, degrees): 3.800 3.800 7.855 90.00 90.00 90.00
Space group P4/mmm (No. 123)
Inequivalent atoms, fractional coordinates:
1 Tb 0.000 0.000 0.000 [1 per cell]
2 Fe 0.000 0.000 0.500 [1 per cell]
3 Ni 0.000 0.500 0.326 [4 per cell]
4 Ni 0.500 0.500 0.144 [2 per cell]

***

Computed XRD peak list of Tb3Fe2Ni7 for a wavelength of 1.5418 Å, from a structure optimized by DFT (GGA-PBE).
Intensities are scaled so that the largest is 100.

Main lines, low angle first (10 to 90 degrees two-theta):
Position (°2θ)	I_rel
32.9	51
35.8	50
36.0	41
41.8	39
42.4	100
45.8	14
45.9	13
62.6	16
64.5	24
68.9	21
69.1	13
76.0	21

Atomic structure:
Lattice parameters (Å, degrees): 5.0111 5.0111 24.4233 90.00 90.00 120.00
Space group R-3m (No. 166, hexagonal axes)
Inequivalent atoms, fractional coordinates:
1 Tb 0.0000 0.0000 0.0000 [3 per cell]
2 Tb 0.0000 0.0000 0.1387 [6 per cell]
3 Fe 0.0000 0.0000 0.3327 [6 per cell]
4 Ni 0.0000 0.0000 0.5000 [3 per cell]
5 Ni 0.0012 0.5006 0.0811 [18 per cell]

***

Computed XRD peak list of TbFe2Ni9 for a wavelength of 1.5418 Å, from a structure optimized by DFT (GGA-PBE).
Intensities are scaled so that the largest is 100.

Main lines, low angle first (10 to 90 degrees two-theta):
Position (°2θ)	I_rel
22.0	9
33.8	26
41.1	42
43.2	81
44.8	100
52.5	24
63.9	20
71.4	13
72.3	8
81.4	19
82.5	11
89.2	25

Atomic structure:
Lattice parameters (Å, degrees): 8.0985 8.0985 2.6145 90.00 90.00 120.00
Space group P6/mmm (No. 191)
Inequivalent atoms, fractional coordinates:
1 Tb 0.0000 0.0000 0.0000 [1 per cell]
2 Fe 0.3333 0.6667 0.0000 [2 per cell]
3 Ni 0.0000 0.5000 0.0000 [3 per cell]
4 Ni 0.1850 0.3700 0.5000 [6 per cell]

***

Computed XRD peak list of TbFeNi4 for a wavelength of 1.5418 Å, from a structure optimized by DFT (GGA-PBE).
Intensities are scaled so that the largest is 100.

Main lines, low angle first (10 to 90 degrees two-theta):
Position (°2θ)	I_rel
30.8	54
36.3	32
42.1	38
43.2	100
46.2	26
60.1	14
61.9	15
64.3	21
70.0	22
77.0	16
83.4	14
85.2	6

Atomic structure:
Lattice parameters (Å, degrees): 4.9524 4.9524 3.9323 90.00 90.00 120.00
Space group P-6m2 (No. 187)
Inequivalent atoms, fractional coordinates:
1 Tb 0.0000 0.0000 0.0000 [1 per cell]
2 Fe 0.3333 0.6667 0.0000 [1 per cell]
3 Ni 0.5004 0.0009 0.5000 [3 per cell]
4 Ni 0.6667 0.3333 0.0000 [1 per cell]

***

Computed XRD peak list of TbThFeNi for a wavelength of 1.5418 Å, from a structure optimized by DFT (GGA-PBE).
Intensities are scaled so that the largest is 100.

Main lines, low angle first (10 to 90 degrees two-theta):
Position (°2θ)	I_rel
22.5	4
26.0	32
37.1	100
43.8	2
45.9	10
53.5	17
58.7	1
60.4	14
66.9	35
79.0	11
83.4	1
84.9	7

Atomic structure:
Lattice parameters (Å, degrees): 6.853 6.853 6.853 90.00 90.00 90.00
Space group F-43m (No. 216)
Inequivalent atoms, fractional coordinates:
1 Tb 0.000 0.000 0.000 [4 per cell]
2 Th 0.000 0.000 0.500 [4 per cell]
3 Fe 0.250 0.250 0.750 [4 per cell]
4 Ni 0.250 0.250 0.250 [4 per cell]

***

Computed XRD peak list of FeTcNi2 for a wavelength of 1.5418 Å, from a structure optimized by DFT (GGA-PBE).
Intensities are scaled so that the largest is 100.

Main lines, low angle first (10 to 90 degrees two-theta):
Position (°2θ)	I_rel
12.0	8
24.1	1
36.5	2
37.2	4
43.0	100
49.3	16
50.5	31
63.9	2
73.3	18
74.2	11
88.1	11
89.8	22

Atomic structure:
Lattice parameters (Å, degrees): 2.557 2.557 7.387 90.00 90.00 90.00
Space group P4/mmm (No. 123)
Inequivalent atoms, fractional coordinates:
1 Fe 0.000 0.000 0.000 [1 per cell]
2 Tc 0.000 0.000 0.500 [1 per cell]
3 Ni 0.500 0.500 0.240 [2 per cell]

***

Computed XRD peak list of Fe6TcNi23 for a wavelength of 1.5418 Å, from a structure optimized by DFT (GGA-PBE).
Intensities are scaled so that the largest is 100.

Main lines, low angle first (10 to 90 degrees two-theta):
Position (°2θ)	I_rel
12.7	2
17.7	2
21.9	1
28.3	4
31.3	2
38.2	2
40.2	1
44.6	100
51.6	32
52.7	15
75.9	9
76.8	17

Atomic structure:
Lattice parameters (Å, degrees): 7.090 7.090 13.904 90.00 90.00 90.00
Space group I4/mmm (No. 139)
Inequivalent atoms, fractional coordinates:
1 Fe 0.000 0.000 0.250 [4 per cell]
2 Fe 0.247 0.247 0.000 [8 per cell]
3 Tc 0.000 0.000 0.500 [2 per cell]
4 Ni 0.000 0.000 0.000 [2 per cell]
5 Ni 0.000 0.252 0.127 [16 per cell]
6 Ni 0.000 0.256 0.371 [16 per cell]
7 Ni 0.000 0.500 0.000 [4 per cell]
8 Ni 0.250 0.250 0.250 [8 per cell]

***

Computed XRD peak list of ThFeNi4 for a wavelength of 1.5418 Å, from a structure optimized by DFT (GGA-PBE).
Intensities are scaled so that the largest is 100.

Main lines, low angle first (10 to 90 degrees two-theta):
Position (°2θ)	I_rel
20.7	16
30.5	75
36.2	38
42.1	40
42.9	100
45.3	25
59.3	18
61.6	21
63.5	23
69.7	23
76.8	15
81.9	15

Atomic structure:
Lattice parameters (Å, degrees): 4.9621 4.9621 4.0070 90.00 90.00 120.00
Space group P-6m2 (No. 187)
Inequivalent atoms, fractional coordinates:
1 Th 0.0000 0.0000 0.0000 [1 per cell]
2 Fe 0.3333 0.6667 0.0000 [1 per cell]
3 Ni 0.0002 0.5001 0.5000 [3 per cell]
4 Ni 0.6667 0.3333 0.0000 [1 per cell]

***

Computed XRD peak list of ThFeNi for a wavelength of 1.5418 Å, from a structure optimized by DFT (GGA-PBE).
Intensities are scaled so that the largest is 100.

Main lines, low angle first (10 to 90 degrees two-theta):
Position (°2θ)	I_rel
20.8	30
21.1	30
34.4	100
34.5	23
35.4	25
40.1	34
40.3	30
40.8	65
41.4	55
61.8	19
62.9	18
72.5	27

Atomic structure:
Lattice parameters (Å, degrees): 5.074 5.195 7.490 90.00 90.00 90.00
Space group Imma (No. 74)
Inequivalent atoms, fractional coordinates:
1 Th 0.000 0.250 0.122 [4 per cell]
2 Fe 0.250 0.250 0.750 [4 per cell]
3 Ni 0.000 0.000 0.500 [4 per cell]